Calculated PXRD pattern of ZnIn16Sn12 for Cu Kα (weighted mean of Kα1 and Kα2), from DFT lattice parameters and positions (GGA-PBE).
No peak broadening, texture or thermal motion is included.

Top 12 peaks for 10° ≤ 2θ ≤ 80°, by angle:
30.5 deg, I = 31
30.7 deg, I = 38
31.3 deg, I = 26
31.6 deg, I = 99
32.3 deg, I = 50
32.5 deg, I = 93
33.5 deg, I = 100
33.6 deg, I = 58
34.9 deg, I = 59
35.1 deg, I = 26
35.3 deg, I = 34
41.1 deg, I = 26

Structure:
Cell: 10.3819 10.3819 9.5466 Å, 107.84 107.84 111.59°
Sites, in units of the cell vectors:
Zn1 0.0000 0.0000 0.0000
In1 0.1267 0.5548 0.5745
In2 0.1415 0.8372 0.2642
In3 0.2055 0.2055 0.9153
In4 0.2118 0.2118 0.5512
In5 0.2547 0.8345 0.9671
In6 0.2646 0.9579 0.6660
In7 0.5438 0.5438 0.6011
In8 0.5483 0.5483 0.2454
In9 0.5503 0.8833 0.2651
In10 0.5504 0.8970 0.8747
In11 0.5548 0.1267 0.5745
In12 0.8345 0.2547 0.9671
In13 0.8372 0.1415 0.2642
In14 0.8833 0.5503 0.2651
In15 0.8970 0.5504 0.8747
In16 0.9579 0.2646 0.6660
Sn1 0.1545 0.3365 0.2704
Sn2 0.1958 0.5332 0.0717
Sn3 0.3365 0.1545 0.2704
Sn4 0.3823 0.7395 0.4710
Sn5 0.3841 0.5675 0.8734
Sn6 0.5332 0.1958 0.0717
Sn7 0.5675 0.3841 0.8734
Sn8 0.7395 0.3823 0.4710
Sn9 0.7600 0.9464 0.6779
Sn10 0.7693 0.7693 0.0225
Sn11 0.8834 0.8834 0.4027
Sn12 0.9464 0.7600 0.6779



Calculated PXRD pattern of ZnInSn2 for Cu Kα (weighted mean of Kα1 and Kα2), from DFT lattice parameters and positions (GGA-PBE).
No peak broadening, texture or thermal motion is included.

Top 12 peaks for 10° ≤ 2θ ≤ 80°, by angle:
25.3 deg, I = 17
30.9 deg, I = 47
31.7 deg, I = 100
34.0 deg, I = 67
34.5 deg, I = 47
37.1 deg, I = 60
38.7 deg, I = 30
40.5 deg, I = 21
40.8 deg, I = 34
54.7 deg, I = 14
55.8 deg, I = 16
63.5 deg, I = 14

Structure:
Cell: 6.5111 6.5111 5.4659 Å, 98.36 98.36 114.10°
Sites, in units of the cell vectors:
Zn1 0.2261 0.7739 0.7500
Zn2 0.7739 0.2261 0.2500
In1 0.3460 0.6540 0.2500
In2 0.6540 0.3460 0.7500
Sn1 0.1261 0.2851 0.6774
Sn2 0.2851 0.1261 0.1774
Sn3 0.7149 0.8739 0.8226
Sn4 0.8739 0.7149 0.3226



Calculated PXRD pattern of ZnIn14Sn for Cu Kα (weighted mean of Kα1 and Kα2), from DFT lattice parameters and positions (GGA-PBE).
No peak broadening, texture or thermal motion is included.

Top 9 peaks for 10° ≤ 2θ ≤ 80°, by angle:
32.9 deg, I = 100
35.8 deg, I = 40
42.6 deg, I = 12
51.6 deg, I = 14
56.9 deg, I = 20
62.6 deg, I = 30
69.1 deg, I = 11
71.9 deg, I = 10
76.0 deg, I = 4

Structure:
Cell: 7.0853 7.0853 8.4851 Å, 90.00 90.00 90.00°
Sites, in units of the cell vectors:
Zn1 0.0000 0.0000 0.0000
In1 0.0000 0.0000 0.5000
In2 0.0000 0.5000 0.0000
In3 0.0000 0.5000 0.5000
In4 0.2433 0.2433 0.2435
In5 0.2433 0.2433 0.7565
In6 0.2433 0.7567 0.2435
In7 0.2433 0.7567 0.7565
In8 0.5000 0.0000 0.0000
In9 0.5000 0.0000 0.5000
In10 0.5000 0.5000 0.5000
In11 0.7567 0.2433 0.2435
In12 0.7567 0.2433 0.7565
In13 0.7567 0.7567 0.2435
In14 0.7567 0.7567 0.7565
Sn1 0.5000 0.5000 0.0000



Calculated PXRD pattern of Zr2In4Sn for Cu Kα (weighted mean of Kα1 and Kα2), from DFT lattice parameters and positions (GGA-PBE).
No peak broadening, texture or thermal motion is included.

Top 12 peaks for 10° ≤ 2θ ≤ 80°, by angle:
17.4 deg, I = 14
20.1 deg, I = 6
33.7 deg, I = 8
35.2 deg, I = 100
40.9 deg, I = 49
59.1 deg, I = 16
59.2 deg, I = 16
70.7 deg, I = 13
70.8 deg, I = 19
70.9 deg, I = 6
74.3 deg, I = 5
74.5 deg, I = 5

Structure:
Cell: 6.2424 6.2424 6.2385 Å, 119.92 119.92 90.05°
Sites, in units of the cell vectors:
Zr1 0.0000 0.5000 0.0000
Zr2 0.5000 0.0000 0.0000
In1 0.0000 0.0000 0.0000
In2 0.0000 0.5000 0.5000
In3 0.5000 0.0000 0.5000
In4 0.5000 0.5000 0.0000
Sn1 0.0000 0.0000 0.5000



Calculated PXRD pattern of Zr2In2Sn for Cu Kα (weighted mean of Kα1 and Kα2), from DFT lattice parameters and positions (GGA-PBE).
No peak broadening, texture or thermal motion is included.

Top 12 peaks for 10° ≤ 2θ ≤ 80°, by angle:
26.3 deg, I = 18
31.3 deg, I = 10
33.6 deg, I = 100
33.9 deg, I = 6
38.1 deg, I = 43
40.8 deg, I = 20
54.7 deg, I = 10
54.9 deg, I = 6
57.0 deg, I = 26
69.7 deg, I = 11
70.6 deg, I = 6
71.2 deg, I = 16

Structure:
Cell: 7.4785 7.4785 4.4226 Å, 90.00 90.00 90.00°
Sites, in units of the cell vectors:
Zr1 0.1531 0.3469 0.0000
Zr2 0.3469 0.8469 0.0000
Zr3 0.6531 0.1531 0.0000
Zr4 0.8469 0.6531 0.0000
In1 0.1499 0.6499 0.5000
In2 0.3501 0.1499 0.5000
In3 0.6499 0.8501 0.5000
In4 0.8501 0.3501 0.5000
Sn1 0.0000 0.0000 0.0000
Sn2 0.5000 0.5000 0.0000



Calculated PXRD pattern of Sr2In17 for Cu Kα (weighted mean of Kα1 and Kα2), from DFT lattice parameters and positions (GGA-PBE).
No peak broadening, texture or thermal motion is included.

Top 12 peaks for 10° ≤ 2θ ≤ 80°, by angle:
16.3 deg, I = 13
28.5 deg, I = 18
29.1 deg, I = 23
33.0 deg, I = 100
33.1 deg, I = 20
33.5 deg, I = 32
37.1 deg, I = 73
53.4 deg, I = 9
58.9 deg, I = 16
59.1 deg, I = 13
59.3 deg, I = 11
69.2 deg, I = 14

Structure:
Cell: 8.2833 8.2833 8.2833 Å, 81.92 81.92 81.92°
Sites, in units of the cell vectors:
Sr1 0.1597 0.1597 0.1597
Sr2 0.8403 0.8403 0.8403
In1 0.0000 0.5000 0.5000
In2 0.1364 0.1364 0.6535
In3 0.1364 0.6535 0.1364
In4 0.2039 0.5000 0.7961
In5 0.2039 0.7961 0.5000
In6 0.3465 0.8636 0.8636
In7 0.3999 0.3999 0.3999
In8 0.5000 0.0000 0.5000
In9 0.5000 0.2039 0.7961
In10 0.5000 0.5000 0.0000
In11 0.5000 0.7961 0.2039
In12 0.6001 0.6001 0.6001
In13 0.6535 0.1364 0.1364
In14 0.7961 0.2039 0.5000
In15 0.7961 0.5000 0.2039
In16 0.8636 0.3465 0.8636
In17 0.8636 0.8636 0.3465



Calculated PXRD pattern of SrIn12 for Cu Kα (weighted mean of Kα1 and Kα2), from DFT lattice parameters and positions (GGA-PBE).
No peak broadening, texture or thermal motion is included.

Top 12 peaks for 10° ≤ 2θ ≤ 80°, by angle:
12.4 deg, I = 43
20.3 deg, I = 29
23.9 deg, I = 94
24.9 deg, I = 37
32.4 deg, I = 15
35.5 deg, I = 35
37.8 deg, I = 100
43.3 deg, I = 43
43.9 deg, I = 69
57.2 deg, I = 24
63.8 deg, I = 43
76.6 deg, I = 32

Structure:
Cell: 8.7494 8.7494 8.7494 Å, 60.00 60.00 60.00°
Sites, in units of the cell vectors:
Sr1 0.0000 0.0000 0.0000
In1 0.1600 0.5000 0.5000
In2 0.1600 0.5000 0.8400
In3 0.1600 0.8400 0.5000
In4 0.5000 0.1600 0.5000
In5 0.5000 0.1600 0.8400
In6 0.5000 0.5000 0.1600
In7 0.5000 0.5000 0.8400
In8 0.5000 0.8400 0.1600
In9 0.5000 0.8400 0.5000
In10 0.8400 0.1600 0.5000
In11 0.8400 0.5000 0.1600
In12 0.8400 0.5000 0.5000



Calculated PXRD pattern of Sr5In2 for Cu Kα (weighted mean of Kα1 and Kα2), from DFT lattice parameters and positions (GGA-PBE).
No peak broadening, texture or thermal motion is included.

Top 12 peaks for 10° ≤ 2θ ≤ 80°, by angle:
18.6 deg, I = 26
25.8 deg, I = 49
27.9 deg, I = 30
29.5 deg, I = 82
31.0 deg, I = 100
31.2 deg, I = 84
34.9 deg, I = 23
35.3 deg, I = 33
46.9 deg, I = 20
47.7 deg, I = 20
53.6 deg, I = 20
56.4 deg, I = 26

Structure:
Cell: 10.3764 10.3764 10.3764 Å, 131.68 67.29 136.14°
Sites, in units of the cell vectors:
Sr1 0.0184 0.2500 0.7684
Sr2 0.0828 0.6472 0.7300
Sr3 0.2500 0.2500 0.0000
Sr4 0.4172 0.1472 0.5644
Sr5 0.4816 0.2500 0.2316
Sr6 0.5184 0.7500 0.7684
Sr7 0.5828 0.8528 0.4356
Sr8 0.7500 0.7500 0.0000
Sr9 0.9172 0.3528 0.2700
Sr10 0.9816 0.7500 0.2316
In1 0.1224 0.2539 0.3763
In2 0.3776 0.7539 0.1316
In3 0.6224 0.2461 0.8684
In4 0.8776 0.7461 0.6237



Calculated PXRD pattern of Sr5In4 for Cu Kα (weighted mean of Kα1 and Kα2), from DFT lattice parameters and positions (GGA-PBE).
No peak broadening, texture or thermal motion is included.

Top 12 peaks for 10° ≤ 2θ ≤ 80°, by angle:
18.8 deg, I = 23
27.2 deg, I = 100
28.1 deg, I = 96
28.4 deg, I = 76
31.8 deg, I = 83
33.1 deg, I = 25
33.5 deg, I = 65
34.4 deg, I = 76
36.7 deg, I = 34
41.7 deg, I = 24
51.2 deg, I = 26
55.2 deg, I = 22

Structure:
Cell: 6.5731 6.5731 11.8412 Å, 111.83 111.83 46.68°
Sites, in units of the cell vectors:
Sr1 0.0000 0.0000 0.0000
Sr2 0.1038 0.1038 0.3978
Sr3 0.2488 0.2488 0.8275
Sr4 0.7512 0.7512 0.1725
Sr5 0.8962 0.8962 0.6022
In1 0.3870 0.3870 0.3828
In2 0.4436 0.4436 0.1628
In3 0.5564 0.5564 0.8372
In4 0.6130 0.6130 0.6172



Calculated PXRD pattern of Sr3In2 for Cu Kα (weighted mean of Kα1 and Kα2), from DFT lattice parameters and positions (GGA-PBE).
No peak broadening, texture or thermal motion is included.

Top 12 peaks for 10° ≤ 2θ ≤ 80°, by angle:
27.4 deg, I = 100
31.7 deg, I = 16
33.1 deg, I = 53
37.6 deg, I = 8
44.5 deg, I = 29
50.3 deg, I = 9
53.1 deg, I = 16
55.7 deg, I = 18
56.6 deg, I = 11
60.1 deg, I = 8
71.7 deg, I = 12
74.7 deg, I = 10

Structure:
Cell: 14.2998 14.2998 14.2998 Å, 16.37 16.37 16.37°
Sites, in units of the cell vectors:
Sr1 0.0000 0.0000 0.0000
Sr2 0.2102 0.2102 0.2102
Sr3 0.7898 0.7898 0.7898
In1 0.3956 0.3956 0.3956
In2 0.6044 0.6044 0.6044



Calculated PXRD pattern of Sr3In11 for Cu Kα (weighted mean of Kα1 and Kα2), from DFT lattice parameters and positions (GGA-PBE).
No peak broadening, texture or thermal motion is included.

Top 12 peaks for 10° ≤ 2θ ≤ 80°, by angle:
29.4 deg, I = 15
30.3 deg, I = 100
31.8 deg, I = 12
32.0 deg, I = 30
36.5 deg, I = 61
37.5 deg, I = 27
38.8 deg, I = 23
39.4 deg, I = 17
40.8 deg, I = 12
53.4 deg, I = 21
58.1 deg, I = 15
61.9 deg, I = 12

Structure:
Cell: 9.5570 9.5570 9.5570 Å, 150.17 105.37 82.38°
Sites, in units of the cell vectors:
Sr1 0.0000 0.0000 0.0000
Sr2 0.3110 0.3110 0.0000
Sr3 0.6890 0.6890 0.0000
In1 0.0316 0.6573 0.3744
In2 0.1302 0.8531 0.2771
In3 0.2829 0.6573 0.6256
In4 0.3041 0.5000 0.8041
In5 0.4239 0.1469 0.2771
In6 0.5000 0.0000 0.5000
In7 0.5761 0.8531 0.7229
In8 0.6959 0.5000 0.1959
In9 0.7171 0.3427 0.3744
In10 0.8698 0.1469 0.7229
In11 0.9684 0.3427 0.6256



Calculated PXRD pattern of SrIn5 for Cu Kα (weighted mean of Kα1 and Kα2), from DFT lattice parameters and positions (GGA-PBE).
No peak broadening, texture or thermal motion is included.

Top 12 peaks for 10° ≤ 2θ ≤ 80°, by angle:
26.3 deg, I = 14
32.6 deg, I = 90
32.8 deg, I = 47
32.9 deg, I = 53
33.5 deg, I = 100
43.1 deg, I = 15
47.1 deg, I = 33
47.8 deg, I = 14
58.6 deg, I = 16
59.2 deg, I = 33
59.6 deg, I = 17
65.1 deg, I = 27

Structure:
Cell: 6.3324 6.3324 6.3324 Å, 129.10 115.20 86.76°
Sites, in units of the cell vectors:
Sr1 0.0000 0.0000 0.0000
In1 0.0915 0.3318 0.7598
In2 0.4280 0.6682 0.7598
In3 0.5000 0.0000 0.5000
In4 0.5720 0.3318 0.2402
In5 0.9085 0.6682 0.2402